For KSr4Bi4, a crystal structure in Alexandria, relaxed with GGA-PBE gives the theoretical powder diffractogram in this record (Cu Kα).
No peak broadening, texture or thermal motion is included.

Largest 10 diffraction maxima, by intensity, 2θ = 10–80°:
d_spacing  2θ/deg  intensity
2.502  35.90  100
3.513  25.35  86
3.243  27.51  52
5.555  15.95  49
7.856  11.26  44
4.008  22.18  35
2.803  31.93  33
2.280  39.52  32
2.619  34.24  31
5.133  17.28  27

Structural model:
```
18
Lattice="11.110 0.000 0.000 0.000 11.110 0.000 0.000 0.000 6.781" Properties=species:S:1:pos:R:3 pbc="T T T"
K 2.778 2.778 1.695
K 8.333 8.333 5.086
Sr 1.075 7.022 1.000
Sr 1.467 10.036 4.390
Sr 4.088 6.630 4.390
Sr 4.481 9.643 1.000
Sr 6.630 1.467 5.781
Sr 7.022 4.481 2.391
Sr 9.643 1.075 2.391
Sr 10.036 4.088 5.781
Bi 0.639 6.678 4.401
Bi 1.123 10.471 1.011
Bi 4.432 6.194 1.011
Bi 4.916 9.987 4.401
Bi 6.194 1.123 2.379
Bi 6.678 4.916 5.770
Bi 9.987 0.639 5.770
Bi 10.471 4.432 2.379
```

For Dy2Er5Mg, a crystal structure in Alexandria, relaxed with GGA-PBE gives the theoretical powder diffractogram in this record (Cu Kα).
No peak broadening, texture or thermal motion is included.

Largest 10 diffraction maxima, by intensity, 2θ = 10–80°:
d_spacing  2θ/deg  intensity
2.758  32.46  100
2.601  34.48  99
2.749  32.57  51
2.982  29.97  45
3.122  28.60  43
3.240  27.53  40
1.751  52.23  34
2.831  31.60  32
2.848  31.41  26
3.053  29.25  25

Structural model:
```
16
Lattice="3.503 0.000 0.000 -0.002 8.529 0.000 -0.032 -1.133 16.326" Properties=species:S:1:pos:R:3 pbc="T T T"
Dy 0.000 1.859 0.754
Dy 3.469 5.538 15.572
Dy -0.008 1.208 7.461
Dy 3.477 6.188 8.865
Er -0.001 7.668 2.666
Er 1.721 0.143 10.623
Er 1.720 3.322 9.657
Er 1.722 5.510 12.312
Er 1.722 2.649 14.770
Er 1.746 4.747 1.557
Er 1.746 1.887 4.014
Er 1.749 4.075 6.669
Er 1.747 7.254 5.703
Er 3.469 -0.272 13.660
Mg -0.002 4.774 4.178
Mg 3.471 2.622 12.148
```

For Pu3Cu8Hg, a crystal structure in Alexandria, relaxed with GGA-PBE gives the theoretical powder diffractogram in this record (Cu Kα).
No peak broadening, texture or thermal motion is included.

Largest 10 diffraction maxima, by intensity, 2θ = 10–80°:
d_spacing  2θ/deg  intensity
2.215  40.73  100
2.600  34.49  50
2.591  34.61  50
4.239  20.96  35
2.209  40.85  31
1.414  66.09  31
1.500  61.85  29
1.300  72.74  15
1.296  73.02  14
2.122  42.61  10

Structural model:
```
12
Lattice="2.600 1.501 8.449 -2.600 1.501 8.449 0.000 -3.002 8.449" Properties=species:S:1:pos:R:3 pbc="T T T"
Pu 0.000 0.000 0.000
Pu 0.000 0.000 3.184
Pu 0.000 0.000 15.873
Cu 0.000 -1.509 5.792
Cu -1.306 0.754 5.792
Cu -1.291 -0.746 10.069
Cu 0.000 0.000 7.920
Cu 1.306 0.754 5.792
Cu 1.291 -0.746 10.069
Cu 0.000 1.491 10.069
Cu 0.000 0.000 20.625
Hg 0.000 0.000 12.680
```